Simulated powder diffraction line list of InCN2 for CuKα, from a structure optimized by DFT (PBE).

```
data_InCN2
_chemical_formula_sum 'In3 C3 N6'
_space_group_name_H-M_alt 'R -3 m'
_space_group_IT_number 166
_space_group_name_Hall '-R 3 2"'
_cell_length_a 3.7477
_cell_length_b 3.7477
_cell_length_c 14.9632
_cell_angle_alpha 90.00
_cell_angle_beta 90.00
_cell_angle_gamma 120.00
loop_
_atom_site_label
_atom_site_type_symbol
_atom_site_fract_x
_atom_site_fract_y
_atom_site_fract_z
In1 In 0.0000 0.0000 0.0000
C1 C 0.0000 0.0000 0.5000
N1 N 0.0000 0.0000 0.4168
```

Top 10 peaks for 2θ = 5–70°, low angle first:
two_theta  I_rel  hkl
17.8  632  0 0 3
28.1  372  1 0 1
30.0  1000  0 1 2
36.7  373  1 0 4
41.0  347  0 1 5
48.6  281  1 1 0
51.2  176  1 0 7
52.1  236  1 1 3
58.2  133  2 0 2
61.9  128  1 1 6